1.
Diffraction record for Li2FeSiO5. The XRD peak list is computed, not measured: it uses a structure optimized by DFT (GGA+U) and λ = 1.5418 Å (Cu Kα).
Lines closer than 0.1° are merged.

Main lines, in order of rising 2θ (2θ from 10° to 90°):
two_theta, Rel. int.
19.75, 631
24.16, 548
27.75, 1000
34.29, 743
42.62, 303
44.56, 190
46.97, 243
51.62, 174
57.31, 262
70.94, 176

Structure:
a b c (Å): 6.4302 6.4302 4.4943
angles (deg): 90.00 90.00 90.00
Space group P4/nmm (No. 129, origin choice 2)
One atom of each set of equivalent atoms:
Li (0.0000, 0.0000, 0.0000) (multiplicity 4)
Fe (0.2500, 0.2500, 0.3931) (multiplicity 2)
Si (0.2500, 0.7500, 0.5000) (multiplicity 2)
O (0.0468, 0.7500, 0.7218) (multiplicity 8)
O (0.2500, 0.2500, 0.7862) (multiplicity 2)

2.
Diffraction record for Li9Mn2Co5O16. The XRD peak list is computed, not measured: it uses a structure optimized by DFT (GGA+U) and λ = 1.5418 Å (Cu Kα).
Lines closer than 0.1° are merged.

Main lines, in order of rising 2θ (2θ from 10° to 90°):
two_theta, Rel. int.
18.51, 1000
35.16, 169
36.55, 120
36.90, 112
37.54, 79
42.36, 295
44.50, 252
44.79, 242
62.89, 76
63.07, 71

Structure:
a b c (Å): 5.8808 5.9175 8.0958
angles (deg): 90.35 90.98 92.67
Space group P-1 (No. 2)
One atom of each set of equivalent atoms:
Li (0.0000, 0.0000, 0.0000) (multiplicity 1)
Li (0.0000, 0.0000, 0.5000) (multiplicity 1)
Li (0.0000, 0.5000, 0.0000) (multiplicity 1)
Li (0.2437, 0.2445, 0.2617) (multiplicity 2)
Li (0.2438, 0.7533, 0.2611) (multiplicity 2)
Li (0.5000, 0.0000, 0.5000) (multiplicity 1)
Li (0.5000, 0.5000, 0.5000) (multiplicity 1)
Mn (0.5000, 0.0000, 0.0000) (multiplicity 1)
Mn (0.5000, 0.5000, 0.0000) (multiplicity 1)
Co (0.0000, 0.5000, 0.5000) (multiplicity 1)
Co (0.2409, 0.2517, 0.7445) (multiplicity 2)
Co (0.2422, 0.7557, 0.7423) (multiplicity 2)
O (0.0111, 0.5150, 0.7357) (multiplicity 2)
O (0.0221, 0.0128, 0.7565) (multiplicity 2)
O (0.2285, 0.2713, 0.5175) (multiplicity 2)
O (0.2420, 0.7380, 0.5155) (multiplicity 2)
O (0.2598, 0.2659, 0.9895) (multiplicity 2)
O (0.2753, 0.7356, 0.9907) (multiplicity 2)
O (0.4847, 0.4882, 0.7635) (multiplicity 2)
O (0.4894, 0.9894, 0.7594) (multiplicity 2)

3.
Diffraction record for BaLaSmMn3O9. The XRD peak list is computed, not measured: it uses a structure optimized by DFT (GGA+U) and λ = 1.5418 Å (Cu Kα).
Lines closer than 0.1° are merged.

Main lines, in order of rising 2θ (2θ from 10° to 90°):
two_theta, Rel. int.
22.50, 330
31.84, 988
32.22, 1000
39.34, 272
45.93, 611
56.72, 225
56.97, 405
57.69, 188
66.53, 169
67.42, 176

Structure:
a b c (Å): 5.6217 5.6217 13.5323
angles (deg): 90.00 90.00 120.00
Space group P321 (No. 150)
One atom of each set of equivalent atoms:
Ba (0.0000, 0.0000, 0.0000) (multiplicity 1)
Ba (0.0000, 0.0000, 0.5000) (multiplicity 1)
La (0.3333, 0.6667, 0.3314) (multiplicity 2)
Sm (0.3333, 0.6667, 0.8302) (multiplicity 2)
Mn (0.0000, 0.0000, 0.2482) (multiplicity 2)
Mn (0.3333, 0.6667, 0.0822) (multiplicity 2)
Mn (0.3333, 0.6667, 0.5835) (multiplicity 2)
O (0.0000, 0.4735, 0.0000) (multiplicity 3)
O (0.0000, 0.5219, 0.5000) (multiplicity 3)
O (0.0971, 0.7551, 0.1724) (multiplicity 6)
O (0.1107, 0.3432, 0.6753) (multiplicity 6)